# 1
Tb2Nb3Ge4: calculated PXRD pattern (CuKα), based on DFT lattice parameters and positions (GGA-PBE).
Neutral-atom scattering factors, no anomalous dispersion.

Structure:
Unit cell a=7.0381 b=13.6513 c=7.2109 alpha=90.00 beta=90.00 gamma=90.00
Element x y z (fractional)
Tb 0.0025 0.0949 0.1733
Tb 0.0025 0.4051 0.1733
Tb 0.4975 0.5949 0.6733
Tb 0.4975 0.9051 0.6733
Tb 0.5025 0.0949 0.3267
Tb 0.5025 0.4051 0.3267
Tb 0.9975 0.5949 0.8267
Tb 0.9975 0.9051 0.8267
Nb 0.1603 0.6265 0.3287
Nb 0.1603 0.8735 0.3287
Nb 0.1642 0.2500 0.5127
Nb 0.3358 0.7500 0.0127
Nb 0.3397 0.1265 0.8287
Nb 0.3397 0.3735 0.8287
Nb 0.6603 0.6265 0.1713
Nb 0.6603 0.8735 0.1713
Nb 0.6642 0.2500 0.9873
Nb 0.8358 0.7500 0.4873
Nb 0.8397 0.1265 0.6713
Nb 0.8397 0.3735 0.6713
Ge 0.0398 0.2500 0.8766
Ge 0.1730 0.0419 0.5390
Ge 0.1730 0.4581 0.5390
Ge 0.1954 0.7500 0.6363
Ge 0.3046 0.2500 0.1363
Ge 0.3270 0.5419 0.0390
Ge 0.3270 0.9581 0.0390
Ge 0.4602 0.7500 0.3766
Ge 0.5398 0.2500 0.6234
Ge 0.6730 0.0419 0.9610
Ge 0.6730 0.4581 0.9610
Ge 0.6954 0.7500 0.8637
Ge 0.8046 0.2500 0.3637
Ge 0.8270 0.5419 0.4610
Ge 0.8270 0.9581 0.4610
Ge 0.9602 0.7500 0.1234

Top 12 peaks for 15 to 90 degrees two-theta, low angle first:
2θ/deg	Rel. int.
34.2	100.0
34.5	96.6
36.3	51.3
37.5	17.9
38.5	20.7
38.8	22.7
39.6	46.5
40.2	30.8
40.4	54.2
41.9	18.6
57.3	16.8
61.6	23.1



# 2
Nb3GeTe6: calculated PXRD pattern (CuKα), based on DFT lattice parameters and positions (GGA-PBE).
Neutral-atom scattering factors, no anomalous dispersion.

Structure:
Unit cell a=6.5315 b=14.9139 c=11.7052 alpha=90.00 beta=90.00 gamma=90.00
Element x y z (fractional)
Nb 0.0373 0.2500 0.1856
Nb 0.1738 0.7500 0.3336
Nb 0.1980 0.7500 0.0323
Nb 0.3020 0.2500 0.5323
Nb 0.3262 0.2500 0.8336
Nb 0.4627 0.7500 0.6856
Nb 0.5373 0.2500 0.3144
Nb 0.6738 0.7500 0.1664
Nb 0.6980 0.7500 0.4677
Nb 0.8020 0.2500 0.9677
Nb 0.8262 0.2500 0.6664
Nb 0.9627 0.7500 0.8144
Ge 0.0744 0.7500 0.5750
Ge 0.4256 0.2500 0.0750
Ge 0.5744 0.7500 0.9250
Ge 0.9256 0.2500 0.4250
Te 0.1343 0.1271 0.9930
Te 0.1343 0.3729 0.9930
Te 0.1450 0.1232 0.6823
Te 0.1450 0.3768 0.6823
Te 0.2168 0.1238 0.3404
Te 0.2168 0.3762 0.3404
Te 0.2832 0.6238 0.8404
Te 0.2832 0.8762 0.8404
Te 0.3550 0.6232 0.1823
Te 0.3550 0.8768 0.1823
Te 0.3657 0.6271 0.4930
Te 0.3657 0.8729 0.4930
Te 0.6343 0.1271 0.5070
Te 0.6343 0.3729 0.5070
Te 0.6450 0.1232 0.8177
Te 0.6450 0.3768 0.8177
Te 0.7168 0.1238 0.1596
Te 0.7168 0.3762 0.1596
Te 0.7832 0.6238 0.6596
Te 0.7832 0.8762 0.6596
Te 0.8550 0.6232 0.3177
Te 0.8550 0.8768 0.3177
Te 0.8657 0.6271 0.0070
Te 0.8657 0.8729 0.0070

Top 12 peaks for 15 to 90 degrees two-theta, low angle first:
2θ/deg	Rel. int.
23.9	20.7
26.6	24.2
27.3	37.5
32.2	100.0
32.8	41.4
34.1	23.0
36.1	36.5
40.5	51.5
41.0	23.6
47.8	28.1
48.9	25.1
70.8	17.0



# 3
Ti5Nb5Ge6: calculated PXRD pattern (CuKα), based on DFT lattice parameters and positions (GGA-PBE).
Neutral-atom scattering factors, no anomalous dispersion.

Structure:
Unit cell a=5.3421 b=7.6655 c=7.6655 alpha=119.93 beta=90.00 gamma=90.00
Element x y z (fractional)
Ti 0.0000 0.0000 0.0000
Ti 0.0000 0.4889 0.7437
Ti 0.0000 0.7437 0.4889
Ti 0.5000 0.9998 0.7431
Ti 0.5000 0.7431 0.9998
Nb 0.2489 0.0774 0.4105
Nb 0.2489 0.4105 0.0774
Nb 0.5000 0.4844 0.4844
Nb 0.7511 0.0774 0.4105
Nb 0.7511 0.4105 0.0774
Ge 0.0000 0.1263 0.7438
Ge 0.0000 0.3595 0.3595
Ge 0.0000 0.7438 0.1263
Ge 0.5000 0.1244 0.1244
Ge 0.5000 0.3584 0.7465
Ge 0.5000 0.7465 0.3584

Top 12 peaks for 15 to 90 degrees two-theta, low angle first:
2θ/deg	Rel. int.
35.8	27.3
36.3	14.1
39.7	65.2
40.8	73.1
41.2	100.0
43.5	12.5
52.6	14.9
59.3	24.0
64.1	14.7
74.5	12.6
80.8	11.8
84.8	16.6